For BaAc2CuO5, the GGA-PBE geometry in Alexandria gives the computed powder diffractogram in this record (λ = 1.5418 Å (Cu Kα)).

Top 12 peaks for 15 to 90 degrees two-theta, in order of rising 2θ:
- 29.0 deg, d 3.080, I = 87.1
- 29.2 deg, d 3.055, I = 100.0
- 30.2 deg, d 2.962, I = 42.6
- 35.6 deg, d 2.522, I = 21.0
- 36.2 deg, d 2.482, I = 78.8
- 40.0 deg, d 2.256, I = 23.0
- 47.3 deg, d 1.920, I = 18.0
- 47.8 deg, d 1.902, I = 33.0
- 53.0 deg, d 1.727, I = 19.8
- 53.5 deg, d 1.712, I = 25.6
- 56.9 deg, d 1.617, I = 19.4
- 58.2 deg, d 1.585, I = 22.8

Structure:
Cell: 7.1331 7.1331 11.8470 Å, 90.00 90.00 90.00°
Space group I4/mcm (No. 140)
Asymmetric unit:
Ba1 0.0000 0.0000 0.2500 (multiplicity 4)
Ac1 0.1735 0.3265 0.0000 (multiplicity 8)
Cu1 0.0000 0.5000 0.2500 (multiplicity 4)
O1 0.0000 0.0000 0.0000 (multiplicity 4)
O2 0.1412 0.3588 0.3668 (multiplicity 16)

For AlTlIn, the GGA-PBE geometry in Alexandria gives the computed powder diffractogram in this record (λ = 1.5418 Å (Cu Kα)).

Top 12 peaks for 15 to 90 degrees two-theta, in order of rising 2θ:
- 15.3 deg, d 5.804, I = 28.3
- 23.0 deg, d 3.864, I = 58.0
- 28.8 deg, d 3.102, I = 33.7
- 30.8 deg, d 2.902, I = 25.6
- 31.8 deg, d 2.813, I = 100.0
- 35.5 deg, d 2.531, I = 80.0
- 36.3 deg, d 2.474, I = 70.2
- 44.2 deg, d 2.049, I = 21.6
- 47.7 deg, d 1.907, I = 31.0
- 58.5 deg, d 1.578, I = 35.2
- 60.2 deg, d 1.537, I = 37.2
- 67.0 deg, d 1.397, I = 23.4

Structure:
Cell: 3.2185 4.0975 11.6071 Å, 90.00 90.00 90.00°
Space group Imm2 (No. 44)
Asymmetric unit:
Al1 0.0000 0.0000 0.0000 (multiplicity 2)
Tl1 0.0000 0.0000 0.3321 (multiplicity 2)
In1 0.0000 0.0000 0.6367 (multiplicity 2)